Calculated powder diffractogram
Compound: CrPbClO2
Radiation: a wavelength of 1.5418 Å
Structure: a GGA+U-relaxed structure
Intensities are scaled so that the largest is 100.

Principal peaks in the range 15 to 90 degrees two-theta, by intensity:
| h k l | 2theta | Rel. int. |
| --- | --- | --- |
| 1 1 0 | 25.8 | 100 |
| 1 0 -2 | 26.5 | 57 |
| 0 1 2 | 32.8 | 42 |
| 2 1 -1 | 35.9 | 35 |
| 1 1 1 | 28.8 | 35 |
| 2 0 1 | 29.0 | 26 |
| 2 1 -2 | 41.4 | 24 |
| 1 0 2 | 27.7 | 23 |
| 0 2 0 | 45.6 | 19 |
| 3 0 -1 | 40.3 | 18 |
| 2 0 2 | 36.2 | 18 |
| 2 0 -2 | 34.3 | 17 |

Atomic structure:
a = 6.9386 Å, b = 3.9820 Å, c = 7.4919 Å
α = 90.00°, β = 92.99°, γ = 90.00°
Positions (direct):
Cr (0.0970, 0.2500, 0.1258)
Cr (0.9030, 0.7500, 0.8742)
Pb (0.2037, 0.2500, 0.6096)
Pb (0.7963, 0.7500, 0.3904)
Cl (0.4174, 0.2500, 0.2628)
Cl (0.5826, 0.7500, 0.7372)
O (0.0168, 0.7500, 0.6440)
O (0.0631, 0.7500, 0.0932)
O (0.9369, 0.2500, 0.9068)
O (0.9832, 0.2500, 0.3560)